Theoretical XRD peak list
Compound: DyZn20Ru2
Radiation: Cu Kα (weighted mean of Kα1 and Kα2)
Structure: a GGA-PBE-relaxed structure
Lines closer than 0.1° are merged.

Structure:
Cell: 14.264 14.264 14.264 Å, 90.00 90.00 90.00°
Space group Fd-3m (No. 227, origin choice 2)
One atom of each set of equivalent atoms:
Dy1 0.125 0.125 0.125 [8 per cell]
Zn1 0.000 0.000 0.000 [16 per cell]
Zn2 0.011 0.375 0.875 [48 per cell]
Zn3 0.059 0.059 0.325 [96 per cell]
Ru1 0.000 0.000 0.500 [16 per cell]

Main lines, low angle first (2θ from 10° to 80°):
(hkl)  d (Å)  I (rel.)
5 3 1  2.411  97.9
6 2 0  2.255  51.2
5 3 3  2.175  96.9
6 2 2  2.150  100.0
6 6 0  1.681  32.8
8 8 0  1.261  51.4

=====

Theoretical XRD peak list
Compound: DyZrRu2
Radiation: Cu Kα (weighted mean of Kα1 and Kα2)
Structure: a GGA-PBE-relaxed structure
Lines closer than 0.1° are merged.

Structure:
Cell: 6.674 6.674 6.674 Å, 90.00 90.00 90.00°
Space group Fm-3m (No. 225)
One atom of each set of equivalent atoms:
Dy1 0.000 0.000 0.000 [4 per cell]
Zr1 0.000 0.000 0.500 [4 per cell]
Ru1 0.250 0.250 0.250 [8 per cell]

Main lines, low angle first (2θ from 10° to 80°):
(hkl)  d (Å)  I (rel.)
1 1 1  3.853  4.9
2 0 0  3.337  1.3
2 2 0  2.360  100.0
3 1 1  2.012  2.7
4 0 0  1.668  17.0
4 2 2  1.362  34.2

=====

Theoretical XRD peak list
Compound: Dy2S3
Radiation: Cu Kα (weighted mean of Kα1 and Kα2)
Structure: a GGA-PBE-relaxed structure
Lines closer than 0.1° are merged.

Structure:
Cell: 10.653 3.874 10.475 Å, 90.00 90.00 90.00°
Space group Pnma (No. 62)
One atom of each set of equivalent atoms:
Dy1 0.010 0.250 0.187 [4 per cell]
Dy2 0.192 0.250 0.504 [4 per cell]
S1 0.046 0.750 0.373 [4 per cell]
S2 0.119 0.250 0.944 [4 per cell]
S3 0.228 0.750 0.696 [4 per cell]

Main lines, low angle first (2θ from 10° to 80°):
(hkl)  d (Å)  I (rel.)
2 0 2  3.735  100.0
0 1 1  3.633  44.4
3 0 1  3.363  54.8
1 0 3  3.318  48.7
1 1 2  2.989  46.8
1 1 3  2.520  57.2

=====

Theoretical XRD peak list
Compound: Dy2S3
Radiation: Cu Kα (weighted mean of Kα1 and Kα2)
Structure: a GGA-PBE-relaxed structure
Lines closer than 0.1° are merged.

Structure:
Cell: 8.324 8.324 24.900 Å, 90.00 90.00 90.00°
Space group I-42d (No. 122)
One atom of each set of equivalent atoms:
Dy1 0.000 0.000 0.165 [8 per cell]
Dy2 0.119 0.250 0.625 [8 per cell]
Dy3 0.139 0.240 0.289 [16 per cell]
S1 0.066 0.180 0.066 [16 per cell]
S2 0.071 0.184 0.394 [16 per cell]
S3 0.079 0.174 0.733 [16 per cell]

Main lines, low angle first (2θ from 10° to 80°):
(hkl)  d (Å)  I (rel.)
1 1 6  3.395  100.0
3 1 0  2.630  91.3
2 1 9  2.222  56.3
4 0 6  1.861  24.8
3 2 9  1.773  23.8
6 1 3  1.350  21.3

=====

Theoretical XRD peak list
Compound: Dy2S3
Radiation: Cu Kα (weighted mean of Kα1 and Kα2)
Structure: a GGA-PBE-relaxed structure
Lines closer than 0.1° are merged.

Structure:
Cell: 7.311 3.889 15.200 Å, 90.00 90.00 90.00°
Space group Pnma (No. 62)
One atom of each set of equivalent atoms:
Dy1 0.141 0.250 0.205 [4 per cell]
Dy2 0.234 0.750 0.457 [4 per cell]
S1 0.010 0.250 0.392 [4 per cell]
S2 0.123 0.750 0.068 [4 per cell]
S3 0.150 0.250 0.782 [4 per cell]

Main lines, low angle first (2θ from 10° to 80°):
(hkl)  d (Å)  I (rel.)
2 0 1  3.554  41.3
1 0 4  3.372  76.9
1 1 1  3.349  100.0
0 1 3  3.085  52.5
2 1 2  2.514  70.4
1 1 5  2.276  46.1

=====

Theoretical XRD peak list
Compound: DyS
Radiation: Cu Kα (weighted mean of Kα1 and Kα2)
Structure: a GGA-PBE-relaxed structure
Lines closer than 0.1° are merged.

Structure:
Cell: 5.521 5.521 5.521 Å, 90.00 90.00 90.00°
Space group Fm-3m (No. 225)
One atom of each set of equivalent atoms:
Dy1 0.000 0.000 0.000 [4 per cell]
S1 0.000 0.000 0.500 [4 per cell]

Main lines, low angle first (2θ from 10° to 80°):
(hkl)  d (Å)  I (rel.)
1 1 1  3.188  82.2
2 0 0  2.761  100.0
2 2 0  1.952  72.0
3 1 1  1.665  40.0
2 2 2  1.594  24.9
4 2 0  1.235  32.1

=====

Theoretical XRD peak list
Compound: Dy12Si5S28
Radiation: Cu Kα (weighted mean of Kα1 and Kα2)
Structure: a GGA-PBE-relaxed structure
Lines closer than 0.1° are merged.

Structure:
Cell: 9.863 11.295 11.353 Å, 119.80 115.74 90.00°
Space group P1 (No. 1)
One atom of each set of equivalent atoms:
Dy1 0.000 0.000 0.000 [1 per cell]
Dy2 0.001 0.474 0.985 [1 per cell]
Dy3 0.241 0.018 0.533 [1 per cell]
Dy4 0.252 0.497 0.525 [1 per cell]
Dy5 0.350 0.304 0.104 [1 per cell]
Dy6 0.358 0.797 0.126 [1 per cell]
Dy7 0.470 0.422 0.881 [1 per cell]
Dy8 0.485 0.942 0.886 [1 per cell]
Dy9 0.758 0.550 0.632 [1 per cell]
Dy10 0.779 0.073 0.642 [1 per cell]
Dy11 0.885 0.698 0.396 [1 per cell]
Dy12 0.897 0.188 0.413 [1 per cell]
Si1 0.122 0.756 0.760 [1 per cell]
Si2 0.456 0.662 0.426 [1 per cell]
Si3 0.457 0.162 0.427 [1 per cell]
Si4 0.788 0.247 0.094 [1 per cell]
Si5 0.791 0.746 0.091 [1 per cell]
S1 0.013 0.249 0.249 [1 per cell]
S2 0.020 0.741 0.234 [1 per cell]
S3 0.036 0.213 0.930 [1 per cell]
S4 0.039 0.719 0.907 [1 per cell]
S5 0.201 0.791 0.605 [1 per cell]
S6 0.213 0.297 0.594 [1 per cell]
S7 0.229 0.011 0.277 [1 per cell]
S8 0.229 0.515 0.282 [1 per cell]
S9 0.277 0.984 0.992 [1 per cell]
S10 0.290 0.509 0.017 [1 per cell]
S11 0.352 0.688 0.843 [1 per cell]
S12 0.382 0.171 0.849 [1 per cell]
S13 0.451 0.342 0.416 [1 per cell]
S14 0.461 0.853 0.437 [1 per cell]
S15 0.536 0.700 0.655 [1 per cell]
S16 0.537 0.199 0.653 [1 per cell]
S17 0.601 0.044 0.343 [1 per cell]
S18 0.606 0.548 0.350 [1 per cell]
S19 0.636 0.705 0.162 [1 per cell]
S20 0.646 0.214 0.181 [1 per cell]
S21 0.707 0.556 0.864 [1 per cell]
S22 0.713 0.058 0.867 [1 per cell]
S23 0.789 0.433 0.093 [1 per cell]
S24 0.790 0.932 0.093 [1 per cell]
S25 0.866 0.335 0.670 [1 per cell]
S26 0.890 0.829 0.682 [1 per cell]
S27 0.953 0.996 0.500 [1 per cell]
S28 0.976 0.532 0.531 [1 per cell]

Main lines, low angle first (2θ from 10° to 80°):
(hkl)  d (Å)  I (rel.)
2 0 -2  4.268  34.1
1 -2 2  3.713  43.3
-2 2 1  3.405  100.0
3 0 1  2.367  44.7
4 -2 0  2.183  50.0
3 -4 0  2.125  32.7

=====

Theoretical XRD peak list
Compound: SmDy2S4
Radiation: Cu Kα (weighted mean of Kα1 and Kα2)
Structure: a GGA-PBE-relaxed structure
Lines closer than 0.1° are merged.

Structure:
Cell: 8.384 8.384 8.332 Å, 90.00 90.00 90.00°
Space group I-42d (No. 122)
One atom of each set of equivalent atoms:
Sm1 0.000 0.000 0.000 [4 per cell]
Dy1 0.126 0.750 0.625 [8 per cell]
S1 0.072 0.675 0.944 [16 per cell]

Main lines, low angle first (2θ from 10° to 80°):
(hkl)  d (Å)  I (rel.)
1 1 2  3.416  100.0
3 1 0  2.650  58.3
1 0 3  2.636  28.1
3 2 1  2.238  34.4
4 0 2  1.873  25.4
3 2 3  1.784  24.3